Structure and theoretical powder diffractogram of Tb3Nd9Sm2 (a cell relaxed with PBE; Cu Kα).
Kinematic intensities with the Lorentz-polarization factor, no thermal factor.

Crystal structure
```
data_Tb3Nd9Sm2
_symmetry_space_group_name_H-M 'P 63/m'
_symmetry_Int_Tables_number 176
_symmetry_space_group_name_Hall '-P 6c'
_cell_length_a 9.1707
_cell_length_b 9.1707
_cell_length_c 13.8766
_cell_angle_alpha 90.00
_cell_angle_beta 90.00
_cell_angle_gamma 120.00
loop_
_atom_site_label
_atom_site_type_symbol
_atom_site_fract_x
_atom_site_fract_y
_atom_site_fract_z
_atom_site_occupancy
Tb1 Tb 0.0787 0.2495 0.2500 1
Nd1 Nd 0.0812 0.4812 0.7500 1
Nd2 Nd 0.1306 0.7240 0.5402 1
Sm1 Sm 0.3333 0.6667 0.1414 1
```

Main lines, most intense first (2θ = 10–80°):
d [Å], two_theta, I_rel
2.755, 32.50, 100.0
2.934, 30.47, 80.6
3.013, 29.65, 40.8
1.733, 52.82, 33.0
2.620, 34.23, 27.0
2.518, 35.66, 25.7
3.469, 25.68, 25.3
2.767, 32.36, 22.1
1.725, 53.08, 19.5
1.550, 59.64, 17.6